Calculated PXRD pattern of PaPd2S4 for Cu Kα (λ = 1.5418 Å), from DFT lattice parameters and positions (PBE).

Principal peaks in the range 2θ from 10° to 90°, by intensity:
| 2theta | intensity |
| --- | --- |
| 42.21 | 100 |
| 29.40 | 95 |
| 26.57 | 82 |
| 16.33 | 79 |
| 33.99 | 77 |
| 29.60 | 65 |
| 42.35 | 46 |
| 55.38 | 38 |

Structure:
a = 6.9856 Å, b = 6.9856 Å, c = 6.9856 Å
α = 104.68°, β = 104.68°, γ = 119.56°
Fractional positions:
Pa 0.0000 0.0000 0.0000
Pa 0.7500 0.2500 0.5000
Pd 0.1649 0.1250 0.5399
Pd 0.3750 0.8351 0.9601
Pd 0.5851 0.6250 0.4601
Pd 0.8750 0.4149 0.0399
S 0.0461 0.7849 0.6560
S 0.1289 0.3901 0.3440
S 0.1401 0.3789 0.8440
S 0.2151 0.8711 0.2612
S 0.5349 0.2961 0.1560
S 0.6099 0.9539 0.7388
S 0.6211 0.4651 0.7612
S 0.7039 0.8599 0.2388

Calculated PXRD pattern of Li4Mg7Sc for Cu Kα (λ = 1.5418 Å), from DFT lattice parameters and positions (PBE).

Principal peaks in the range 2θ from 10° to 90°, by intensity:
| 2theta | intensity |
| --- | --- |
| 36.23 | 100 |
| 65.12 | 25 |
| 21.94 | 18 |
| 52.17 | 18 |
| 20.66 | 13 |
| 88.01 | 7 |
| 30.36 | 6 |
| 65.33 | 6 |

Structure:
a = 4.9652 Å, b = 4.9652 Å, c = 12.1145 Å
α = 90.00°, β = 90.00°, γ = 120.00°
Fractional positions:
Li 0.3333 0.6667 0.1565
Li 0.3333 0.6667 0.4044
Li 0.6667 0.3333 0.5956
Li 0.6667 0.3333 0.8435
Mg 0.0000 0.0000 0.2502
Mg 0.0000 0.0000 0.5000
Mg 0.0000 0.0000 0.7498
Mg 0.3333 0.6667 0.6488
Mg 0.3333 0.6667 0.9031
Mg 0.6667 0.3333 0.0969
Mg 0.6667 0.3333 0.3512
Sc 0.0000 0.0000 0.0000